# 1
Diffraction record for Te4MoW3Se2S2. The powder diffractogram is calculated, not measured: it uses a cell relaxed with PBE and Cu Ka.
Neutral-atom scattering factors, no anomalous dispersion.

Main lines, most intense first (5 to 70 degrees two-theta):
two_theta	Rel. int.
11.42	100
35.73	85
43.22	47
30.43	45
6.84	33
54.04	28

Cell and atoms:
Lattice parameters (Å, degrees): 3.3943 3.3943 38.7535 90.00 90.00 120.00
Fractional positions:
Te: 0.0000 0.0000 0.0000
Te: 0.0000 0.0000 0.0973
Te: 0.3333 0.6667 0.4367
Te: 0.3333 0.6667 0.5333
Mo: 0.0000 0.0000 0.4850
W: 0.0000 0.0000 0.8607
W: 0.3333 0.6667 0.0487
W: 0.3333 0.6667 0.6729
Se: 0.3333 0.6667 0.8181
Se: 0.3333 0.6667 0.9034
S: 0.0000 0.0000 0.6340
S: 0.0000 0.0000 0.7118

***

# 2
Diffraction record for PdSe. The powder diffractogram is calculated, not measured: it uses a cell relaxed with PBE and Cu Ka.
Neutral-atom scattering factors, no anomalous dispersion.

Main lines, most intense first (5 to 70 degrees two-theta):
two_theta	Rel. int.
31.88	100
29.17	95
28.54	72
49.45	71
39.01	63
29.02	61

Cell and atoms:
Lattice parameters (Å, degrees): 6.8450 6.8450 7.0322 90.00 90.00 90.00
Fractional positions:
Pd: 0.0000 0.0000 0.2500
Pd: 0.0000 0.0000 0.7500
Pd: 0.0000 0.5000 0.0000
Pd: 0.2610 0.5299 0.5000
Pd: 0.4701 0.2610 0.0000
Pd: 0.5000 0.0000 0.5000
Pd: 0.5299 0.7390 0.0000
Pd: 0.7390 0.4701 0.5000
Se: 0.1943 0.3074 0.2281
Se: 0.1943 0.3074 0.7719
Se: 0.3074 0.8057 0.2719
Se: 0.3074 0.8057 0.7281
Se: 0.6926 0.1943 0.2719
Se: 0.6926 0.1943 0.7281
Se: 0.8057 0.6926 0.2281
Se: 0.8057 0.6926 0.7719

***

# 3
Diffraction record for TmLuIr2. The powder diffractogram is calculated, not measured: it uses a cell relaxed with PBE and Cu Ka.
Neutral-atom scattering factors, no anomalous dispersion.

Main lines, most intense first (5 to 70 degrees two-theta):
two_theta	Rel. int.
37.74	100
68.13	36
54.43	18

Cell and atoms:
Lattice parameters (Å, degrees): 4.7676 4.7676 4.7676 60.00 60.00 60.00
Fractional positions:
Tm: 0.0000 0.0000 0.0000
Lu: 0.5000 0.5000 0.5000
Ir: 0.2500 0.2500 0.2500
Ir: 0.7500 0.7500 0.7500

***

# 4
Diffraction record for KO2. The powder diffractogram is calculated, not measured: it uses a cell relaxed with PBE and Cu Ka.
Neutral-atom scattering factors, no anomalous dispersion.

Main lines, most intense first (5 to 70 degrees two-theta):
two_theta	Rel. int.
24.42	100
29.13	84
35.91	60
37.61	40
44.15	32
24.19	31

Cell and atoms:
Lattice parameters (Å, degrees): 5.2254 5.2254 7.6263 123.01 123.01 47.25
Fractional positions:
K: 0.0000 0.5000 0.0000
K: 0.5000 0.0000 0.5000
O: 0.0785 0.8196 0.4470
O: 0.1804 0.9215 0.0530
O: 0.8196 0.0785 0.9470
O: 0.9215 0.1804 0.5530

***

# 5
Diffraction record for Sr2ErGaCu2O7. The powder diffractogram is calculated, not measured: it uses a cell relaxed with PBE and Cu Ka.
Neutral-atom scattering factors, no anomalous dispersion.

Main lines, most intense first (5 to 70 degrees two-theta):
two_theta	Rel. int.
32.83	100
7.63	58
47.14	38
38.90	31
33.18	30
32.54	29

Cell and atoms:
Lattice parameters (Å, degrees): 12.2069 12.2069 12.2069 36.82 153.94 154.44
Fractional positions:
Sr: 0.0160 0.1510 0.1670
Sr: 0.0160 0.3490 0.3650
Sr: 0.9840 0.6510 0.6350
Sr: 0.9840 0.8490 0.8330
Er: 0.9982 0.4982 0.5000
Er: 0.9982 0.9982 0.0000
Ga: 0.4683 0.7867 0.1816
Ga: 0.6052 0.2867 0.8184
Cu: 0.4975 0.5690 0.0698
Cu: 0.4975 0.9277 0.4285
Cu: 0.4992 0.0690 0.5715
Cu: 0.4992 0.4277 0.9302
O: 0.0046 0.6395 0.8651
O: 0.4264 0.1473 0.6318
O: 0.4264 0.2946 0.7791
O: 0.4982 0.1849 0.1870
O: 0.4982 0.8112 0.8133
O: 0.5002 0.3091 0.3112
O: 0.5002 0.6890 0.6910
O: 0.5155 0.6473 0.2209
O: 0.5155 0.7946 0.3682
O: 0.7744 0.1395 0.1349
O: 0.9979 0.1890 0.6888
O: 0.9979 0.3112 0.8130
O: 0.9979 0.6849 0.1867
O: 0.9979 0.8091 0.3090

***

# 6
Diffraction record for Mn4CrCo10Ge5. The powder diffractogram is calculated, not measured: it uses a cell relaxed with PBE and Cu Ka.
Neutral-atom scattering factors, no anomalous dispersion.

Main lines, most intense first (5 to 70 degrees two-theta):
two_theta	Rel. int.
44.57	100
44.88	98
65.10	30
26.88	2
52.96	1
27.13	1

Cell and atoms:
Lattice parameters (Å, degrees): 16.6004 16.6004 16.6004 14.07 14.07 14.07
Fractional positions:
Mn: 0.0998 0.0998 0.0998
Mn: 0.3001 0.3001 0.3001
Mn: 0.6999 0.6999 0.6999
Mn: 0.9002 0.9002 0.9002
Cr: 0.5000 0.5000 0.5000
Co: 0.0499 0.0499 0.0499
Co: 0.1503 0.1503 0.1503
Co: 0.2500 0.2500 0.2500
Co: 0.3501 0.3501 0.3501
Co: 0.4499 0.4499 0.4499
Co: 0.5501 0.5501 0.5501
Co: 0.6499 0.6499 0.6499
Co: 0.7500 0.7500 0.7500
Co: 0.8497 0.8497 0.8497
Co: 0.9501 0.9501 0.9501
Ge: 0.0000 0.0000 0.0000
Ge: 0.1998 0.1998 0.1998
Ge: 0.3999 0.3999 0.3999
Ge: 0.6001 0.6001 0.6001
Ge: 0.8002 0.8002 0.8002